Starting from a structure optimized by DFT (GGA-PBE), the powder diffraction line list of NaLi2Pb was calculated for Cu Kα (weighted mean of Kα1 and Kα2).

The 12 most intense peaks (10° ≤ 2θ ≤ 90°), low angle first:
d (Å)  Position (°2θ)  I_rel  index
4.067  21.85  100.0  1 1 1
3.522  25.29  79.3  2 0 0
2.490  36.06  77.3  2 2 0
2.124  42.57  56.2  3 1 1
2.033  44.56  24.0  2 2 2
1.761  51.92  13.8  4 0 0
1.616  56.99  24.5  3 3 1
1.575  58.61  32.2  4 2 0
1.438  64.85  28.4  4 2 2
1.356  69.32  18.8  5 1 1
1.191  80.70  19.4  5 3 1
1.174  82.09  15.9  6 0 0

Crystal structure
```
data_NaLi2Pb
_chemical_formula_sum 'Na4 Li8 Pb4'
_space_group_name_H-M_alt 'F m -3 m'
_space_group_IT_number 225
_space_group_name_Hall '-F 4 2 3'
_cell_length_a 7.044
_cell_length_b 7.044
_cell_length_c 7.044
_cell_angle_alpha 90.00
_cell_angle_beta 90.00
_cell_angle_gamma 90.00
loop_
_atom_site_label
_atom_site_fract_x
_atom_site_fract_y
_atom_site_fract_z
Na1 0.000 0.000 0.000
Li1 0.250 0.250 0.250
Pb1 0.000 0.000 0.500
```

=====

Starting from a structure optimized by DFT (GGA-PBE), the powder diffraction line list of NaLiPt was calculated for Cu Kα (weighted mean of Kα1 and Kα2).

The 11 most intense peaks (10° ≤ 2θ ≤ 90°), low angle first:
d (Å)  Position (°2θ)  I_rel  index
3.675  24.22  100.0  1 1 1
3.182  28.04  43.7  2 0 0
2.250  40.07  56.4  2 2 0
1.919  47.37  51.0  3 1 1
1.837  49.62  12.6  2 2 2
1.591  57.96  9.6  4 0 0
1.460  63.74  21.2  3 3 1
1.423  65.60  16.8  4 2 0
1.299  72.79  19.4  4 2 2
1.225  78.01  16.0  5 1 1
1.125  86.50  6.3  4 4 0

Crystal structure
```
data_NaLiPt
_chemical_formula_sum 'Na4 Li4 Pt4'
_space_group_name_H-M_alt 'F -4 3 m'
_space_group_IT_number 216
_space_group_name_Hall 'F -4 2 3'
_cell_length_a 6.365
_cell_length_b 6.365
_cell_length_c 6.365
_cell_angle_alpha 90.00
_cell_angle_beta 90.00
_cell_angle_gamma 90.00
loop_
_atom_site_label
_atom_site_fract_x
_atom_site_fract_y
_atom_site_fract_z
Na1 0.000 0.000 0.000
Li1 0.250 0.250 0.750
Pt1 0.250 0.250 0.250
```

=====

Starting from a structure optimized by DFT (GGA-PBE), the powder diffraction line list of Na2LiS2 was calculated for Cu Kα (weighted mean of Kα1 and Kα2).

The 12 most intense peaks (10° ≤ 2θ ≤ 90°), low angle first:
d (Å)  Position (°2θ)  I_rel  index
6.740  13.14  8.3  0 0 2
6.060  14.62  100.0  1 0 0
4.506  19.70  13.4  1 0 2
4.285  20.73  42.6  1 1 0
3.615  24.62  8.3  1 1 2
3.030  29.48  16.6  2 0 0
2.945  30.35  9.1  1 0 4
2.710  33.05  23.8  2 1 0
2.107  42.93  8.7  1 0 6
1.990  45.59  7.2  1 1 6
1.916  47.44  7.8  3 1 0
1.730  52.92  10.5  2 1 6

Crystal structure
```
data_Na2LiS2
_chemical_formula_sum 'Na2 Li1 S2'
_space_group_name_H-M_alt 'P 4/m m m'
_space_group_IT_number 123
_space_group_name_Hall '-P 4 2'
_cell_length_a 6.060
_cell_length_b 6.060
_cell_length_c 13.480
_cell_angle_alpha 90.00
_cell_angle_beta 90.00
_cell_angle_gamma 90.00
loop_
_atom_site_label
_atom_site_fract_x
_atom_site_fract_y
_atom_site_fract_z
Na1 0.000 0.000 0.148
Li1 0.000 0.000 0.500
S1 0.000 0.000 0.331
```

=====

Starting from a structure optimized by DFT (GGA-PBE), the powder diffraction line list of NaLi3Si6 was calculated for Cu Kα (weighted mean of Kα1 and Kα2).

The 12 most intense peaks (10° ≤ 2θ ≤ 90°), low angle first:
d (Å)  Position (°2θ)  I_rel  index
5.178  17.13  76.5  0 0 2
3.379  26.38  51.9  1 0 3
3.066  29.13  83.7  3 1 1
3.016  29.62  31.1  1 1 2
2.594  34.58  39.3  6 0 2
2.580  34.77  34.9  0 0 4
2.550  35.19  67.0  0 1 3
2.531  35.47  87.7  4 1 2
2.355  38.22  50.1  6 1 0
1.901  47.85  100.0  0 2 0
1.813  50.32  69.4  0 1 5
1.739  52.62  38.2  6 1 4

Crystal structure
```
data_NaLi3Si6
_chemical_formula_sum 'Na4 Li12 Si24'
_space_group_name_H-M_alt 'P n m a'
_space_group_IT_number 62
_space_group_name_Hall '-P 2ac 2n'
_cell_length_a 18.006
_cell_length_b 3.800
_cell_length_c 10.320
_cell_angle_alpha 90.00
_cell_angle_beta 90.00
_cell_angle_gamma 90.00
loop_
_atom_site_label
_atom_site_fract_x
_atom_site_fract_y
_atom_site_fract_z
Na1 0.075 0.250 0.250
Li1 0.028 0.250 0.591
Li2 0.068 0.750 0.015
Li3 0.187 0.250 0.939
Si1 0.055 0.250 0.834
Si2 0.117 0.750 0.742
Si3 0.118 0.750 0.504
Si4 0.197 0.250 0.477
Si5 0.205 0.750 0.141
Si6 0.249 0.250 0.259
```

=====

Starting from a structure optimized by DFT (GGA-PBE), the powder diffraction line list of Li4NbO4 was calculated for Cu Kα (weighted mean of Kα1 and Kα2).

The 12 most intense peaks (10° ≤ 2θ ≤ 90°), low angle first:
d (Å)  Position (°2θ)  I_rel  index
5.468  16.21  100.0  1 1 0
3.866  23.00  25.4  2 0 0
3.061  29.17  91.1  1 0 1
2.445  36.75  37.6  3 1 0
2.400  37.47  25.8  2 1 1
2.039  44.43  15.2  3 0 1
1.804  50.61  21.1  3 2 1
1.729  52.95  16.5  4 2 0
1.635  56.28  26.8  4 1 1
1.403  66.67  13.0  3 4 1
1.377  68.08  11.1  3 1 2
1.319  71.54  12.1  2 5 1

Crystal structure
```
data_Li4NbO4
_chemical_formula_sum 'Li8 Nb2 O8'
_space_group_name_H-M_alt 'I 4/m'
_space_group_IT_number 87
_space_group_name_Hall '-I 4'
_cell_length_a 7.733
_cell_length_b 7.733
_cell_length_c 3.333
_cell_angle_alpha 90.00
_cell_angle_beta 90.00
_cell_angle_gamma 90.00
loop_
_atom_site_label
_atom_site_fract_x
_atom_site_fract_y
_atom_site_fract_z
Li1 0.159 0.336 0.000
Nb1 0.000 0.000 0.000
O1 0.078 0.757 0.000
```